[1]
The following is a simulated X-ray diffraction stick pattern of Pr2GdSn3PdPt2. It was derived from a crystal structure in OQMD, relaxed with PBE, using CuKα.

Principal peaks in the range 15 to 90 degrees two-theta, by angle:
d 2.806, 2θ = 31.90°, intensity 100
d 2.584, 2θ = 34.72°, intensity 98
d 2.505, 2θ = 35.85°, intensity 47
d 2.209, 2θ = 40.85°, intensity 41
d 2.141, 2θ = 42.20°, intensity 33
d 2.063, 2θ = 43.88°, intensity 30
d 1.593, 2θ = 57.90°, intensity 24
d 1.508, 2θ = 61.50°, intensity 25
d 1.428, 2θ = 65.33°, intensity 11
d 1.426, 2θ = 65.46°, intensity 21

Cell and atoms:
Unit cell a=4.1266 b=7.6468 c=7.6468 alpha=119.85 beta=90.00 gamma=90.00
Element x y z (fractional)
Pr  0.0000  0.2058  0.7942
Pr  0.0000  0.7942  0.2058
Gd  0.0000  0.3839  0.3839
Sn  0.5000  0.0478  0.0478
Sn  0.5000  0.5403  0.7911
Sn  0.5000  0.7911  0.5403
Pd  0.0000  0.7896  0.7896
Pt  0.5000  0.1334  0.4583
Pt  0.5000  0.4583  0.1334



[2]
The following is a simulated X-ray diffraction stick pattern of RbGdPdS3. It was derived from a crystal structure in OQMD, relaxed with PBE, using CuKα.

Principal peaks in the range 15 to 90 degrees two-theta, by angle:
d 4.188, 2θ = 21.21°, intensity 28
d 3.902, 2θ = 22.79°, intensity 55
d 3.105, 2θ = 28.75°, intensity 71
d 3.070, 2θ = 29.09°, intensity 44
d 2.706, 2θ = 33.10°, intensity 100
d 2.482, 2θ = 36.18°, intensity 34
d 2.224, 2θ = 40.57°, intensity 67
d 2.094, 2θ = 43.20°, intensity 36
d 2.058, 2θ = 44.00°, intensity 27
d 1.822, 2θ = 50.05°, intensity 48

Cell and atoms:
Unit cell a=8.0699 b=8.0699 c=9.9274 alpha=90.00 beta=90.00 gamma=150.45
Element x y z (fractional)
Rb  0.2457  0.7543  0.7500
Rb  0.7543  0.2457  0.2500
Gd  0.0000  0.0000  0.0000
Gd  0.0000  0.0000  0.5000
Pd  0.4962  0.5038  0.2500
Pd  0.5038  0.4962  0.7500
S  0.0845  0.9155  0.2500
S  0.3904  0.6096  0.0780
S  0.3904  0.6096  0.4220
S  0.6096  0.3904  0.5780
S  0.6096  0.3904  0.9220
S  0.9155  0.0845  0.7500



[3]
The following is a simulated X-ray diffraction stick pattern of Gd3Sb5Pd6. It was derived from a crystal structure in OQMD, relaxed with PBE, using CuKα.

Principal peaks in the range 15 to 90 degrees two-theta, by angle:
d 3.138, 2θ = 28.45°, intensity 11
d 2.670, 2θ = 33.56°, intensity 48
d 2.660, 2θ = 33.69°, intensity 100
d 2.477, 2θ = 36.26°, intensity 12
d 2.287, 2θ = 39.40°, intensity 15
d 2.226, 2θ = 40.52°, intensity 31
d 2.212, 2θ = 40.79°, intensity 36
d 1.828, 2θ = 49.88°, intensity 15
d 1.569, 2θ = 58.86°, intensity 16
d 1.349, 2θ = 69.73°, intensity 15

Cell and atoms:
Unit cell a=4.4241 b=13.3524 c=10.0314 alpha=90.00 beta=90.00 gamma=90.00
Element x y z (fractional)
Gd  0.2500  0.0707  0.2443
Gd  0.2500  0.4293  0.2443
Gd  0.2500  0.7500  0.2436
Gd  0.7500  0.2500  0.7564
Gd  0.7500  0.5707  0.7557
Gd  0.7500  0.9293  0.7557
Sb  0.2500  0.0891  0.8621
Sb  0.2500  0.4109  0.8621
Sb  0.2500  0.6236  0.5258
Sb  0.2500  0.7500  0.8155
Sb  0.2500  0.8764  0.5258
Sb  0.7500  0.1236  0.4742
Sb  0.7500  0.2500  0.1845
Sb  0.7500  0.3764  0.4742
Sb  0.7500  0.5891  0.1379
Sb  0.7500  0.9109  0.1379
Pd  0.2500  0.0693  0.6042
Pd  0.2500  0.2500  0.0243
Pd  0.2500  0.2500  0.4586
Pd  0.2500  0.4307  0.6042
Pd  0.2500  0.5917  0.9867
Pd  0.2500  0.9083  0.9867
Pd  0.7500  0.0917  0.0133
Pd  0.7500  0.4083  0.0133
Pd  0.7500  0.5693  0.3958
Pd  0.7500  0.7500  0.5414
Pd  0.7500  0.7500  0.9757
Pd  0.7500  0.9307  0.3958



[4]
The following is a simulated X-ray diffraction stick pattern of GdSi3Pd. It was derived from a crystal structure in OQMD, relaxed with PBE, using CuKα.

Principal peaks in the range 15 to 90 degrees two-theta, by angle:
d 5.448, 2θ = 16.27°, intensity 37
d 2.979, 2θ = 30.00°, intensity 31
d 2.856, 2θ = 31.32°, intensity 21
d 2.709, 2θ = 33.07°, intensity 38
d 2.678, 2θ = 33.46°, intensity 100
d 2.263, 2θ = 39.83°, intensity 18
d 2.082, 2θ = 43.46°, intensity 31
d 2.041, 2θ = 44.39°, intensity 21
d 2.034, 2θ = 44.55°, intensity 21
d 1.455, 2θ = 63.99°, intensity 19

Cell and atoms:
Unit cell a=11.0848 b=11.0848 c=4.0677 alpha=90.00 beta=90.00 gamma=158.78
Element x y z (fractional)
Gd  0.1708  0.8292  0.0000
Gd  0.8292  0.1708  0.0000
Si  0.0537  0.9463  0.5000
Si  0.2784  0.7216  0.5000
Si  0.4465  0.5535  0.0000
Si  0.5535  0.4465  0.0000
Si  0.7216  0.2784  0.5000
Si  0.9463  0.0537  0.5000
Pd  0.3882  0.6118  0.5000
Pd  0.6118  0.3882  0.5000



[5]
The following is a simulated X-ray diffraction stick pattern of Gd2SnPd. It was derived from a crystal structure in OQMD, relaxed with PBE, using CuKα.

Principal peaks in the range 15 to 90 degrees two-theta, by angle:
d 2.901, 2θ = 30.82°, intensity 100
d 2.835, 2θ = 31.55°, intensity 27
d 2.784, 2θ = 32.15°, intensity 29
d 2.381, 2θ = 37.78°, intensity 26
d 2.350, 2θ = 38.29°, intensity 57
d 2.193, 2θ = 41.17°, intensity 26
d 2.058, 2θ = 44.01°, intensity 22
d 1.735, 2θ = 52.76°, intensity 18
d 1.500, 2θ = 61.83°, intensity 16
d 1.326, 2θ = 71.07°, intensity 15

Cell and atoms:
Unit cell a=4.3856 b=4.1153 c=11.3415 alpha=90.00 beta=90.00 gamma=90.00
Element x y z (fractional)
Gd  0.0000  0.0000  0.0000
Gd  0.0000  0.5000  0.5000
Gd  0.5000  0.0000  0.2870
Gd  0.5000  0.5000  0.7870
Sn  0.0000  0.0000  0.7187
Sn  0.0000  0.5000  0.2187
Pd  0.5000  0.0000  0.5535
Pd  0.5000  0.5000  0.0535



[6]
The following is a simulated X-ray diffraction stick pattern of TbGdTlPd2. It was derived from a crystal structure in OQMD, relaxed with PBE, using CuKα.

Principal peaks in the range 15 to 90 degrees two-theta, by angle:
d 3.202, 2θ = 27.87°, intensity 22
d 2.710, 2θ = 33.05°, intensity 100
d 2.640, 2θ = 33.95°, intensity 54
d 2.522, 2θ = 35.60°, intensity 17
d 2.444, 2θ = 36.78°, intensity 49
d 2.418, 2θ = 37.19°, intensity 19
d 2.072, 2θ = 43.69°, intensity 26
d 1.844, 2θ = 49.43°, intensity 18
d 1.630, 2θ = 56.46°, intensity 25
d 1.472, 2θ = 63.17°, intensity 20

Cell and atoms:
Unit cell a=3.6875 b=4.1434 c=15.1302 alpha=90.00 beta=90.00 gamma=90.00
Element x y z (fractional)
Tb  0.0000  0.0000  0.0000
Tb  0.0000  0.5000  0.5000
Gd  0.0000  0.0000  0.7320
Gd  0.0000  0.5000  0.2320
Tl  0.5000  0.0000  0.3660
Tl  0.5000  0.5000  0.8660
Pd  0.5000  0.0000  0.1747
Pd  0.5000  0.0000  0.5563
Pd  0.5000  0.5000  0.0563
Pd  0.5000  0.5000  0.6747



[7]
The following is a simulated X-ray diffraction stick pattern of PmGdS3. It was derived from a crystal structure in OQMD, relaxed with PBE, using CuKα.

Principal peaks in the range 15 to 90 degrees two-theta, by angle:
d 3.848, 2θ = 23.12°, intensity 32
d 3.599, 2θ = 24.74°, intensity 31
d 3.393, 2θ = 26.26°, intensity 100
d 2.628, 2θ = 34.11°, intensity 45
d 2.221, 2θ = 40.61°, intensity 51
d 2.036, 2θ = 44.50°, intensity 41
d 1.890, 2θ = 48.14°, intensity 32
d 1.859, 2θ = 49.01°, intensity 19
d 1.348, 2θ = 69.75°, intensity 23
d 1.244, 2θ = 76.61°, intensity 16

Cell and atoms:
Unit cell a=4.4430 b=4.4430 c=7.1974 alpha=90.00 beta=90.00 gamma=120.00
Element x y z (fractional)
Pm  0.0000  0.0000  0.0000
Gd  0.6667  0.3333  0.5178
S  0.0000  0.0000  0.4072
S  0.3333  0.6667  0.7588
S  0.6667  0.3333  0.1252



[8]
The following is a simulated X-ray diffraction stick pattern of PrGd. It was derived from a crystal structure in OQMD, relaxed with PBE, using CuKα.

Principal peaks in the range 15 to 90 degrees two-theta, by angle:
d 3.179, 2θ = 28.07°, intensity 23
d 2.965, 2θ = 30.14°, intensity 26
d 2.802, 2θ = 31.94°, intensity 100
d 2.168, 2θ = 41.65°, intensity 16
d 1.835, 2θ = 49.67°, intensity 19
d 1.679, 2θ = 54.68°, intensity 22
d 1.561, 2θ = 59.21°, intensity 23
d 1.535, 2θ = 60.28°, intensity 16
d 1.178, 2θ = 81.79°, intensity 14
d 1.153, 2θ = 83.90°, intensity 9

Cell and atoms:
Unit cell a=3.6707 b=3.6707 c=5.9300 alpha=90.00 beta=90.00 gamma=120.00
Element x y z (fractional)
Pr  0.0000  0.0000  0.0000
Gd  0.3333  0.6667  0.5000